Entry 1:
For PmTl2Ge2O6, the GGA-PBE geometry in Alexandria gives the theoretical X-ray diffraction stick pattern in this record (Cu Kα (weighted mean of Kα1 and Kα2)).
Kinematic intensities with the Lorentz-polarization factor, no thermal factor.

The 10 most intense peaks (15 to 90 degrees two-theta), most intense first:
Position (°2θ)	I_rel
29.1	100
29.3	80
28.9	55
26.1	49
38.6	28
42.6	28
30.7	27
51.3	25
25.0	23
55.8	19

Crystal structure
abc: 6.1405 6.1405 7.2039
angles: 117.92 117.92 60.45
Fractional positions:
1 Pm 0.0000 0.0000 0.0000
2 Tl 0.2080 0.2080 0.6678
3 Tl 0.7920 0.7920 0.3322
4 Ge 0.4522 0.4522 0.2864
5 Ge 0.5478 0.5478 0.7136
6 O 0.2310 0.7001 0.7414
7 O 0.2578 0.2578 0.1532
8 O 0.2999 0.7690 0.2586
9 O 0.7001 0.2310 0.7414
10 O 0.7422 0.7422 0.8468
11 O 0.7690 0.2999 0.2586


Entry 2:
For PmTlGeO5, the GGA-PBE geometry in Alexandria gives the theoretical X-ray diffraction stick pattern in this record (Cu Kα (weighted mean of Kα1 and Kα2)).
Kinematic intensities with the Lorentz-polarization factor, no thermal factor.

The 10 most intense peaks (15 to 90 degrees two-theta), most intense first:
Position (°2θ)	I_rel
30.8	100
26.9	89
27.2	82
32.6	58
41.6	33
35.5	32
50.3	32
48.8	27
35.9	26
46.3	24

Crystal structure
abc: 5.9950 5.9950 7.1324
angles: 102.07 102.07 108.26
Fractional positions:
1 Pm 0.1553 0.8447 0.7500
2 Pm 0.8447 0.1553 0.2500
3 Tl 0.5000 0.5000 0.0000
4 Tl 0.5000 0.5000 0.5000
5 Ge 0.1778 0.8222 0.2500
6 Ge 0.8222 0.1778 0.7500
7 O 0.0878 0.2122 0.9412
8 O 0.1433 0.5841 0.3671
9 O 0.2122 0.0878 0.4412
10 O 0.3916 0.6084 0.7500
11 O 0.4159 0.8567 0.1329
12 O 0.5841 0.1433 0.8671
13 O 0.6084 0.3916 0.2500
14 O 0.7878 0.9122 0.5588
15 O 0.8567 0.4159 0.6329
16 O 0.9122 0.7878 0.0588


Entry 3:
For Pm2Tm4Ge3O2, the GGA-PBE geometry in Alexandria gives the theoretical X-ray diffraction stick pattern in this record (Cu Kα (weighted mean of Kα1 and Kα2)).
Kinematic intensities with the Lorentz-polarization factor, no thermal factor.

The 10 most intense peaks (15 to 90 degrees two-theta), most intense first:
Position (°2θ)	I_rel
36.2	100
29.0	66
40.1	60
70.3	32
30.0	23
50.8	21
58.0	20
33.0	18
31.9	18
66.1	13

Crystal structure
abc: 12.3394 12.3394 12.3394
angles: 158.99 158.99 29.89
Fractional positions:
1 Pm 0.1978 0.1978 0.0000
2 Pm 0.8022 0.8022 0.0000
3 Tm 0.0796 0.5796 0.5000
4 Tm 0.4204 0.9204 0.5000
5 Tm 0.5796 0.0796 0.5000
6 Tm 0.9204 0.4204 0.5000
7 Ge 0.3285 0.3285 0.0000
8 Ge 0.5000 0.5000 0.0000
9 Ge 0.6715 0.6715 0.0000
10 O 0.0898 0.0898 0.0000
11 O 0.9102 0.9102 0.0000


Entry 4:
For PmZrGe2O8, the GGA-PBE geometry in Alexandria gives the theoretical X-ray diffraction stick pattern in this record (Cu Kα (weighted mean of Kα1 and Kα2)).
Kinematic intensities with the Lorentz-polarization factor, no thermal factor.

The 10 most intense peaks (15 to 90 degrees two-theta), most intense first:
Position (°2θ)	I_rel
25.3	100
33.1	72
49.8	62
36.1	21
63.0	19
52.0	16
58.7	13
63.4	13
74.8	13
18.7	12

Crystal structure
abc: 5.9314 5.9314 5.9314
angles: 107.23 107.23 114.06
Fractional positions:
1 Pm 0.0000 0.0000 0.0000
2 Zr 0.7500 0.2500 0.5000
3 Ge 0.2500 0.7500 0.5000
4 Ge 0.5000 0.5000 0.0000
5 O 0.0549 0.3800 0.3251
6 O 0.0549 0.7298 0.6749
7 O 0.1291 0.3229 0.8062
8 O 0.2702 0.9451 0.3251
9 O 0.5167 0.3229 0.1938
10 O 0.6200 0.9451 0.6749
11 O 0.6771 0.4833 0.8062
12 O 0.6771 0.8709 0.1938


Entry 5:
For Pr2GeO5, the GGA-PBE geometry in Alexandria gives the theoretical X-ray diffraction stick pattern in this record (Cu Kα (weighted mean of Kα1 and Kα2)).
Kinematic intensities with the Lorentz-polarization factor, no thermal factor.

The 10 most intense peaks (15 to 90 degrees two-theta), most intense first:
Position (°2θ)	I_rel
30.8	100
23.3	90
27.6	87
32.6	74
21.6	69
36.2	58
38.1	57
49.6	43
21.2	42
47.7	37

Crystal structure
abc: 10.1409 4.7182 6.4875
angles: 90.00 124.09 90.00
Fractional positions:
1 Pr 0.2169 0.0000 0.2470
2 Pr 0.2831 0.5000 0.7530
3 Pr 0.7169 0.5000 0.2470
4 Pr 0.7831 0.0000 0.7530
5 Ge 0.0000 0.9611 0.5000
6 Ge 0.5000 0.4611 0.5000
7 O 0.0000 0.5771 0.5000
8 O 0.0449 0.0469 0.8147
9 O 0.2221 0.0079 0.6304
10 O 0.2779 0.5079 0.3696
11 O 0.4551 0.5469 0.1853
12 O 0.5000 0.0771 0.5000
13 O 0.5449 0.5469 0.8147
14 O 0.7221 0.5079 0.6304
15 O 0.7779 0.0079 0.3696
16 O 0.9551 0.0469 0.1853


Entry 6:
For Pr2GeO5, the GGA-PBE geometry in Alexandria gives the theoretical X-ray diffraction stick pattern in this record (Cu Kα (weighted mean of Kα1 and Kα2)).
Kinematic intensities with the Lorentz-polarization factor, no thermal factor.

The 10 most intense peaks (15 to 90 degrees two-theta), most intense first:
Position (°2θ)	I_rel
30.4	100
31.5	52
27.8	47
27.5	44
29.0	42
45.5	36
43.1	22
53.9	16
59.2	16
50.5	14

Crystal structure
abc: 9.6420 7.3676 7.1102
angles: 90.00 106.49 90.00
Fractional positions:
1 Pr 0.0257 0.1264 0.2327
2 Pr 0.0257 0.3736 0.7327
3 Pr 0.3743 0.1379 0.0646
4 Pr 0.3743 0.3621 0.5646
5 Pr 0.6257 0.6379 0.4354
6 Pr 0.6257 0.8621 0.9354
7 Pr 0.9743 0.6264 0.2673
8 Pr 0.9743 0.8736 0.7673
9 Ge 0.3003 0.5900 0.0309
10 Ge 0.3003 0.9100 0.5309
11 Ge 0.6997 0.0900 0.4691
12 Ge 0.6997 0.4100 0.9691
13 O 0.1107 0.6332 0.9901
14 O 0.1107 0.8668 0.4901
15 O 0.1133 0.1181 0.9434
16 O 0.1133 0.3819 0.4434
17 O 0.2891 0.0813 0.3441
18 O 0.2891 0.4187 0.8441
19 O 0.3838 0.0504 0.7338
20 O 0.3838 0.4496 0.2338
21 O 0.3955 0.7135 0.5163
22 O 0.3955 0.7865 0.0163
23 O 0.6045 0.2135 0.9837
24 O 0.6045 0.2865 0.4837
25 O 0.6162 0.5504 0.7662
26 O 0.6162 0.9496 0.2662
27 O 0.7109 0.5813 0.1559
28 O 0.7109 0.9187 0.6559
29 O 0.8867 0.6181 0.5566
30 O 0.8867 0.8819 0.0566
31 O 0.8893 0.1332 0.5099
32 O 0.8893 0.3668 0.0099


Entry 7:
For Pr3GeO6, the GGA-PBE geometry in Alexandria gives the theoretical X-ray diffraction stick pattern in this record (Cu Kα (weighted mean of Kα1 and Kα2)).
Kinematic intensities with the Lorentz-polarization factor, no thermal factor.

The 10 most intense peaks (15 to 90 degrees two-theta), most intense first:
Position (°2θ)	I_rel
29.0	100
29.3	33
44.3	20
43.5	20
31.2	20
48.7	17
54.1	14
29.6	14
56.9	14
30.7	12

Crystal structure
abc: 7.4785 7.4785 5.7397
angles: 90.00 90.00 102.49
Fractional positions:
1 Pr 0.1024 0.8976 0.5000
2 Pr 0.2004 0.4130 0.5485
3 Pr 0.4130 0.2004 0.0485
4 Pr 0.5870 0.7996 0.5485
5 Pr 0.7996 0.5870 0.0485
6 Pr 0.8976 0.1024 0.0000
7 Ge 0.3264 0.6736 0.0670
8 Ge 0.6736 0.3264 0.5670
9 O 0.1017 0.6043 0.2229
10 O 0.1478 0.1716 0.2742
11 O 0.1716 0.1478 0.7742
12 O 0.2732 0.7268 0.7386
13 O 0.3957 0.8983 0.2229
14 O 0.4713 0.5287 0.2792
15 O 0.5287 0.4713 0.7792
16 O 0.6043 0.1017 0.7229
17 O 0.7268 0.2732 0.2386
18 O 0.8284 0.8522 0.2742
19 O 0.8522 0.8284 0.7742
20 O 0.8983 0.3957 0.7229


Entry 8:
For PrScGeO5, the GGA-PBE geometry in Alexandria gives the theoretical X-ray diffraction stick pattern in this record (Cu Kα (weighted mean of Kα1 and Kα2)).
Kinematic intensities with the Lorentz-polarization factor, no thermal factor.

The 10 most intense peaks (15 to 90 degrees two-theta), most intense first:
Position (°2θ)	I_rel
31.9	100
27.9	90
26.6	66
32.7	50
38.2	47
26.4	39
30.4	36
51.9	35
49.9	29
59.0	24

Crystal structure
abc: 5.8106 5.8106 7.2924
angles: 102.85 102.85 107.06
Fractional positions:
1 Pr 0.1715 0.8285 0.7500
2 Pr 0.8285 0.1715 0.2500
3 Sc 0.5000 0.5000 0.0000
4 Sc 0.5000 0.5000 0.5000
5 Ge 0.1761 0.8239 0.2500
6 Ge 0.8239 0.1761 0.7500
7 O 0.1159 0.2326 0.9273
8 O 0.1724 0.6022 0.3845
9 O 0.2326 0.1159 0.4273
10 O 0.3978 0.8276 0.1155
11 O 0.4136 0.5864 0.7500
12 O 0.5864 0.4136 0.2500
13 O 0.6022 0.1724 0.8845
14 O 0.7674 0.8841 0.5727
15 O 0.8276 0.3978 0.6155
16 O 0.8841 0.7674 0.0727


Entry 9:
For PuScGeO6, the GGA-PBE geometry in Alexandria gives the theoretical X-ray diffraction stick pattern in this record (Cu Kα (weighted mean of Kα1 and Kα2)).
Kinematic intensities with the Lorentz-polarization factor, no thermal factor.

The 10 most intense peaks (15 to 90 degrees two-theta), most intense first:
Position (°2θ)	I_rel
27.6	100
39.5	78
19.4	72
21.8	71
34.1	67
53.0	64
19.5	35
44.4	27
35.4	27
57.2	26

Crystal structure
abc: 5.2599 5.2599 9.1646
angles: 90.00 90.00 120.00
Fractional positions:
1 Pu 0.3333 0.6667 0.2500
2 Pu 0.6667 0.3333 0.7500
3 Sc 0.0000 0.0000 0.0000
4 Sc 0.0000 0.0000 0.5000
5 Ge 0.3333 0.6667 0.7500
6 Ge 0.6667 0.3333 0.2500
7 O 0.0305 0.3561 0.6325
8 O 0.0305 0.6743 0.8675
9 O 0.3257 0.3561 0.8675
10 O 0.3257 0.9695 0.6325
11 O 0.3561 0.0305 0.1325
12 O 0.3561 0.3257 0.3675
13 O 0.6439 0.6743 0.6325
14 O 0.6439 0.9695 0.8675
15 O 0.6743 0.0305 0.3675
16 O 0.6743 0.6439 0.1325
17 O 0.9695 0.3257 0.1325
18 O 0.9695 0.6439 0.3675


Entry 10:
For YPuGe2O8, the GGA-PBE geometry in Alexandria gives the theoretical X-ray diffraction stick pattern in this record (Cu Kα (weighted mean of Kα1 and Kα2)).
Kinematic intensities with the Lorentz-polarization factor, no thermal factor.

The 10 most intense peaks (15 to 90 degrees two-theta), most intense first:
Position (°2θ)	I_rel
25.3	100
33.0	78
49.7	64
18.6	41
36.0	24
62.9	19
17.8	18
51.8	16
74.6	15
58.5	15

Crystal structure
abc: 5.9429 5.9429 5.9429
angles: 107.19 107.19 114.14
Fractional positions:
1 Y 0.0000 0.0000 0.0000
2 Pu 0.2500 0.7500 0.5000
3 Ge 0.5000 0.5000 0.0000
4 Ge 0.7500 0.2500 0.5000
5 O 0.3183 0.1295 0.8113
6 O 0.3183 0.5070 0.1887
7 O 0.3797 0.0608 0.3189
8 O 0.4930 0.6817 0.8113
9 O 0.7419 0.0608 0.6811
10 O 0.8705 0.6817 0.1887
11 O 0.9392 0.2581 0.3189
12 O 0.9392 0.6203 0.6811


Entry 11:
For Rb3GeO3, the GGA-PBE geometry in Alexandria gives the theoretical X-ray diffraction stick pattern in this record (Cu Kα (weighted mean of Kα1 and Kα2)).
Kinematic intensities with the Lorentz-polarization factor, no thermal factor.

The 10 most intense peaks (15 to 90 degrees two-theta), most intense first:
Position (°2θ)	I_rel
25.9	100
23.0	40
29.0	38
39.5	25
27.6	25
49.6	23
48.0	20
31.6	20
33.4	20
38.8	19

Crystal structure
abc: 9.1549 9.1549 10.5172
angles: 90.00 90.00 65.39
Fractional positions:
1 Rb 0.0051 0.3433 0.8785
2 Rb 0.1567 0.4949 0.6215
3 Rb 0.2096 0.7904 0.8422
4 Rb 0.2904 0.7096 0.3422
5 Rb 0.3433 0.0051 0.1215
6 Rb 0.4949 0.1567 0.3785
7 Rb 0.5051 0.8433 0.6215
8 Rb 0.6567 0.9949 0.8785
9 Rb 0.7096 0.2904 0.6578
10 Rb 0.7904 0.2096 0.1578
11 Rb 0.8433 0.5051 0.3785
12 Rb 0.9949 0.6567 0.1215
13 Ge 0.0900 0.0900 0.5000
14 Ge 0.4100 0.4100 0.0000
15 Ge 0.5900 0.5900 0.0000
16 Ge 0.9100 0.9100 0.5000
17 O 0.0216 0.2738 0.5811
18 O 0.0807 0.9193 0.5964
19 O 0.2262 0.4784 0.9189
20 O 0.2738 0.0216 0.4189
21 O 0.4193 0.5807 0.0964
22 O 0.4784 0.2262 0.0811
23 O 0.5216 0.7738 0.9189
24 O 0.5807 0.4193 0.9036
25 O 0.7262 0.9784 0.5811
26 O 0.7738 0.5216 0.0811
27 O 0.9193 0.0807 0.4036
28 O 0.9784 0.7262 0.4189


Entry 12:
For RbGe4O8, the GGA-PBE geometry in Alexandria gives the theoretical X-ray diffraction stick pattern in this record (Cu Kα (weighted mean of Kα1 and Kα2)).
Kinematic intensities with the Lorentz-polarization factor, no thermal factor.

The 10 most intense peaks (15 to 90 degrees two-theta), most intense first:
Position (°2θ)	I_rel
31.7	100
28.3	98
33.6	49
21.5	41
18.2	31
56.5	28
54.4	28
55.1	26
65.5	26
37.5	18

Crystal structure
abc: 5.6423 5.6423 8.2614
angles: 90.00 90.00 120.00
Fractional positions:
1 Rb 0.0000 0.0000 0.0000
2 Ge 0.3333 0.6667 0.2185
3 Ge 0.3333 0.6667 0.7815
4 Ge 0.6667 0.3333 0.2185
5 Ge 0.6667 0.3333 0.7815
6 O 0.0000 0.3961 0.7196
7 O 0.0000 0.6039 0.2804
8 O 0.3333 0.6667 0.0000
9 O 0.3961 0.0000 0.7196
10 O 0.3961 0.3961 0.2804
11 O 0.6039 0.0000 0.2804
12 O 0.6039 0.6039 0.7196
13 O 0.6667 0.3333 0.0000


What is the formula in the third record?
Pm2Tm4Ge3O2